For MgZn2Ni4O8, a DFT-relaxed cell (GGA+U, the Materials Project) gives the theoretical X-ray diffraction stick pattern in this record (Cu Kα (λ = 1.5418 Å)).
No peak broadening, texture or thermal motion is included.

The 10 most intense peaks (2θ = 15–90°), by intensity:
hkl, 2theta, intensity
3 1 -2, 35.39, 100
3 1 0, 34.88, 51
2 2 -2, 42.85, 49
2 2 -1, 36.10, 45
6 2 -2, 63.49, 44
0 0 2, 34.46, 43
3 1 -1, 30.51, 39
2 2 2, 59.59, 28
4 0 0, 42.00, 25
2 2 -3, 55.22, 24

Structural model:
Unit cell a=10.180 b=5.814 c=6.158 alpha=90.00 beta=122.30 gamma=90.00
Space group C2/m (No. 12)
Unique sites:
Mg  0.000  0.000  0.000 [2 per cell]
Zn  0.154  0.000  0.464 [4 per cell]
Ni  0.000  0.500  0.000 [2 per cell]
Ni  0.000  0.500  0.500 [2 per cell]
Ni  0.250  0.250  0.000 [4 per cell]
O  0.004  0.252  0.759 [8 per cell]
O  0.223  0.500  0.177 [4 per cell]
O  0.247  0.000  0.235 [4 per cell]